For ZrZn, the PBE geometry in Alexandria gives the theoretical PXRD pattern in this record (Cu Kα (weighted mean of Kα1 and Kα2)).
Kinematic intensities with the Lorentz-polarization factor, no thermal factor.

Peak list (6 most intense, 5 to 70 degrees two-theta, low angle first)
34.75 deg, intensity 45; 35.31 deg, intensity 71; 37.97 deg, intensity 95; 38.12 deg, intensity 89; 41.68 deg, intensity 100; 41.86 deg, intensity 45

a = 5.237 Å, b = 5.491 Å, c = 10.576 Å
α = 90.00°, β = 90.00°, γ = 90.00°
Sites, in units of the cell vectors:
Zr1 0.133 0.110 0.019
Zr2 0.147 0.622 0.813
Zr3 0.353 0.378 0.313
Zr4 0.367 0.890 0.519
Zr5 0.633 0.390 0.981
Zr6 0.647 0.878 0.187
Zr7 0.853 0.122 0.687
Zr8 0.867 0.610 0.481
Zn1 0.151 0.875 0.276
Zn2 0.156 0.608 0.081
Zn3 0.344 0.392 0.581
Zn4 0.349 0.125 0.776
Zn5 0.651 0.625 0.724
Zn6 0.656 0.892 0.919
Zn7 0.844 0.108 0.419
Zn8 0.849 0.375 0.224

For Zr3Zn5, the PBE geometry in Alexandria gives the theoretical PXRD pattern in this record (Cu Kα (weighted mean of Kα1 and Kα2)).
Kinematic intensities with the Lorentz-polarization factor, no thermal factor.

Peak list (6 most intense, 5 to 70 degrees two-theta, low angle first)
37.07 deg, intensity 100; 37.99 deg, intensity 100; 40.47 deg, intensity 12; 41.71 deg, intensity 41; 44.54 deg, intensity 54; 62.66 deg, intensity 37

a = 5.855 Å, b = 4.331 Å, c = 6.365 Å
α = 90.00°, β = 117.28°, γ = 90.00°
Sites, in units of the cell vectors:
Zr1 0.000 0.000 0.000
Zr2 0.152 0.500 0.724
Zr3 0.726 0.000 0.450
Zn1 0.267 0.000 0.494
Zn2 0.336 0.500 0.257
Zn3 0.496 0.000 0.956
Zn4 0.660 0.500 0.724
Zn5 0.801 0.500 0.191

For ZrZn22, the PBE geometry in Alexandria gives the theoretical PXRD pattern in this record (Cu Kα (weighted mean of Kα1 and Kα2)).
Kinematic intensities with the Lorentz-polarization factor, no thermal factor.

Peak list (6 most intense, 5 to 70 degrees two-theta, low angle first)
37.67 deg, intensity 100; 40.38 deg, intensity 50; 41.93 deg, intensity 88; 42.44 deg, intensity 97; 44.43 deg, intensity 29; 45.87 deg, intensity 31

a = 9.990 Å, b = 9.990 Å, c = 9.990 Å
α = 60.00°, β = 60.00°, γ = 60.00°
Sites, in units of the cell vectors:
Zr1 0.125 0.125 0.125
Zr2 0.875 0.875 0.875
Zn1 0.000 0.000 0.000
Zn2 0.000 0.000 0.500
Zn3 0.000 0.500 0.000
Zn4 0.000 0.500 0.500
Zn5 0.058 0.319 0.319
Zn6 0.058 0.319 0.803
Zn7 0.058 0.803 0.319
Zn8 0.197 0.681 0.681
Zn9 0.197 0.681 0.942
Zn10 0.197 0.942 0.681
Zn11 0.236 0.236 0.514
Zn12 0.236 0.514 0.236
Zn13 0.236 0.514 0.514
Zn14 0.319 0.058 0.319
Zn15 0.319 0.058 0.803
Zn16 0.319 0.319 0.058
Zn17 0.319 0.319 0.803
Zn18 0.319 0.803 0.058
Zn19 0.319 0.803 0.319
Zn20 0.486 0.486 0.764
Zn21 0.486 0.764 0.486
Zn22 0.486 0.764 0.764
Zn23 0.500 0.000 0.000
Zn24 0.500 0.000 0.500
Zn25 0.500 0.500 0.000
Zn26 0.500 0.500 0.500
Zn27 0.514 0.236 0.236
Zn28 0.514 0.236 0.514
Zn29 0.514 0.514 0.236
Zn30 0.681 0.197 0.681
Zn31 0.681 0.197 0.942
Zn32 0.681 0.681 0.197
Zn33 0.681 0.681 0.942
Zn34 0.681 0.942 0.197
Zn35 0.681 0.942 0.681
Zn36 0.764 0.486 0.486
Zn37 0.764 0.486 0.764
Zn38 0.764 0.764 0.486
Zn39 0.803 0.058 0.319
Zn40 0.803 0.319 0.058
Zn41 0.803 0.319 0.319
Zn42 0.942 0.197 0.681
Zn43 0.942 0.681 0.197
Zn44 0.942 0.681 0.681

For Zr4Zn, the PBE geometry in Alexandria gives the theoretical PXRD pattern in this record (Cu Kα (weighted mean of Kα1 and Kα2)).
Kinematic intensities with the Lorentz-polarization factor, no thermal factor.

Peak list (6 most intense, 5 to 70 degrees two-theta, low angle first)
35.23 deg, intensity 100; 40.58 deg, intensity 32; 41.53 deg, intensity 16; 58.12 deg, intensity 1; 58.74 deg, intensity 10; 59.47 deg, intensity 20

a = 7.030 Å, b = 7.030 Å, c = 4.349 Å
α = 90.00°, β = 90.00°, γ = 90.00°
Sites, in units of the cell vectors:
Zr1 0.114 0.306 0.000
Zr2 0.194 0.614 0.500
Zr3 0.306 0.886 0.000
Zr4 0.386 0.194 0.500
Zr5 0.614 0.806 0.500
Zr6 0.694 0.114 0.000
Zr7 0.806 0.386 0.500
Zr8 0.886 0.694 0.000
Zn1 0.000 0.000 0.500
Zn2 0.500 0.500 0.000

For Zr2Zn7, the PBE geometry in Alexandria gives the theoretical PXRD pattern in this record (Cu Kα (weighted mean of Kα1 and Kα2)).
Kinematic intensities with the Lorentz-polarization factor, no thermal factor.

Peak list (6 most intense, 5 to 70 degrees two-theta, low angle first)
34.19 deg, intensity 29; 39.76 deg, intensity 27; 40.85 deg, intensity 100; 44.19 deg, intensity 21; 44.46 deg, intensity 22; 65.74 deg, intensity 22

a = 12.664 Å, b = 12.664 Å, c = 12.664 Å
α = 23.91°, β = 23.91°, γ = 23.91°
Sites, in units of the cell vectors:
Zr1 0.051 0.051 0.051
Zr2 0.150 0.150 0.150
Zr3 0.850 0.850 0.850
Zr4 0.949 0.949 0.949
Zn1 0.000 0.500 0.500
Zn2 0.105 0.615 0.615
Zn3 0.278 0.278 0.278
Zn4 0.385 0.385 0.895
Zn5 0.385 0.895 0.385
Zn6 0.390 0.390 0.390
Zn7 0.500 0.000 0.500
Zn8 0.500 0.500 0.000
Zn9 0.500 0.500 0.500
Zn10 0.610 0.610 0.610
Zn11 0.615 0.105 0.615
Zn12 0.615 0.615 0.105
Zn13 0.722 0.722 0.722
Zn14 0.895 0.385 0.385

For Zr6Zn5, the PBE geometry in Alexandria gives the theoretical PXRD pattern in this record (Cu Kα (weighted mean of Kα1 and Kα2)).
Kinematic intensities with the Lorentz-polarization factor, no thermal factor.

Peak list (6 most intense, 5 to 70 degrees two-theta, low angle first)
38.50 deg, intensity 100; 38.78 deg, intensity 19; 55.29 deg, intensity 7; 55.83 deg, intensity 13; 69.42 deg, intensity 7; 69.70 deg, intensity 13

a = 7.347 Å, b = 7.347 Å, c = 6.646 Å
α = 90.00°, β = 90.00°, γ = 142.93°
Sites, in units of the cell vectors:
Zr1 0.000 0.000 0.242
Zr2 0.000 0.000 0.758
Zr3 0.340 0.660 0.244
Zr4 0.340 0.660 0.756
Zr5 0.660 0.340 0.244
Zr6 0.660 0.340 0.756
Zn1 0.170 0.830 0.500
Zn2 0.171 0.829 0.000
Zn3 0.500 0.500 0.500
Zn4 0.829 0.171 0.000
Zn5 0.830 0.170 0.500